[1]
Simulated XRD peak list
Compound: Ce3In4
Radiation: copper Kα
Structure: a GGA-PBE-relaxed structure

Main lines, in order of falling intensity (10° ≤ 2θ ≤ 80°):
33.07°, I = 100, (1 4 0)
59.03°, I = 17, (6 3 0)
47.47°, I = 13, (4 2 2)
37.68°, I = 8, (3 1 2)
29.22°, I = 7, (4 -3 1)
27.89°, I = 5, (0 1 2)

Structural model:
Cell lengths 14.3466, 14.3466, 6.6211 Å; angles 90.00, 90.00, 120.00 degrees
Space group R-3 (No. 148, hexagonal axes)
Asymmetric unit:
Ce: 0.0515 0.2213 0.2322 (multiplicity 18)
In: 0.0000 0.0000 0.0000 (multiplicity 3)
In: 0.0000 0.0000 0.5000 (multiplicity 3)
In: 0.0592 0.2619 0.7112 (multiplicity 18)

***

[2]
Simulated XRD peak list
Compound: KTe3Cl
Radiation: copper Kα
Structure: a GGA-PBE-relaxed structure

Main lines, in order of falling intensity (10° ≤ 2θ ≤ 80°):
27.76°, I = 100, (1 1 1)
32.16°, I = 73, (2 0 0)
46.12°, I = 52, (2 2 0)
54.68°, I = 45, (3 1 1)
15.92°, I = 29, (1 0 0)
76.53°, I = 22, (4 2 0)

Structural model:
Cell lengths 5.567, 5.567, 5.567 Å; angles 90.00, 90.00, 90.00 degrees
Space group Pm-3m (No. 221)
Asymmetric unit:
K: 0.000 0.000 0.000 (multiplicity 1)
Te: 0.000 0.500 0.500 (multiplicity 3)
Cl: 0.500 0.500 0.500 (multiplicity 1)

***

[3]
Simulated XRD peak list
Compound: TlCuH8Ir2
Radiation: copper Kα
Structure: a GGA-PBE-relaxed structure

Main lines, in order of falling intensity (10° ≤ 2θ ≤ 80°):
31.16°, I = 100, (0 1 5)
39.02°, I = 90, (1 1 0)
28.25°, I = 73, (1 0 4)
22.66°, I = 53, (1 0 1)
49.75°, I = 45, (1 0 10)
47.45°, I = 39, (2 -1 6)

Structural model:
Cell lengths 4.6162, 4.6162, 20.6220 Å; angles 90.00, 90.00, 120.00 degrees
Space group R-3 (No. 148, hexagonal axes)
Asymmetric unit:
Tl: 0.0000 0.0000 0.0000 (multiplicity 3)
Cu: 0.0000 0.0000 0.5000 (multiplicity 3)
H: 0.0000 0.0000 0.2767 (multiplicity 6)
H: 0.0085 0.6558 0.7809 (multiplicity 18)
Ir: 0.0000 0.0000 0.1992 (multiplicity 6)

***

[4]
Simulated XRD peak list
Compound: CsKZnI4
Radiation: copper Kα
Structure: a GGA-PBE-relaxed structure

Main lines, in order of falling intensity (10° ≤ 2θ ≤ 80°):
24.39°, I = 100, (2 0 -2)
28.03°, I = 59, (1 2 -2)
24.24°, I = 40, (1 0 2)
31.78°, I = 24, (2 2 0)
34.18°, I = 23, (1 0 -4)
26.55°, I = 23, (1 1 2)

Structural model:
Cell lengths 8.086, 8.300, 10.494 Å; angles 90.00, 108.58, 90.00 degrees
Space group P2_1/m (No. 11)
Asymmetric unit:
Cs: 0.232 0.250 0.431 (multiplicity 2)
K: 0.271 0.250 0.946 (multiplicity 2)
Zn: 0.290 0.750 0.190 (multiplicity 2)
I: 0.097 0.750 0.936 (multiplicity 2)
I: 0.103 0.750 0.356 (multiplicity 2)
I: 0.496 0.501 0.760 (multiplicity 4)

***

[5]
Simulated XRD peak list
Compound: CeY4Er7
Radiation: copper Kα
Structure: a GGA-PBE-relaxed structure

Main lines, in order of falling intensity (10° ≤ 2θ ≤ 80°):
32.02°, I = 100, (0 0 3)
31.77°, I = 97, (2 0 -1)
31.61°, I = 93, (2 0 2)
31.87°, I = 80, (1 2 -1)
30.74°, I = 77, (1 2 2)
32.75°, I = 74, (1 -2 0)

Structural model:
Cell lengths 6.737, 6.916, 8.698 Å; angles 79.39, 76.61, 76.25 degrees
Space group P-1 (No. 2)
Asymmetric unit:
Ce: 0.000 0.000 0.000 (multiplicity 1)
Y: 0.186 0.608 0.334 (multiplicity 2)
Y: 0.344 0.228 0.687 (multiplicity 2)
Er: 0.000 0.500 0.000 (multiplicity 1)
Er: 0.179 0.108 0.366 (multiplicity 2)
Er: 0.322 0.737 0.668 (multiplicity 2)
Er: 0.485 0.250 0.029 (multiplicity 2)

***

[6]
Simulated XRD peak list
Compound: Sm3HoO6
Radiation: copper Kα
Structure: a GGA-PBE-relaxed structure

Main lines, in order of falling intensity (10° ≤ 2θ ≤ 80°):
28.70°, I = 100, (3 -1 1)
31.75°, I = 90, (1 2 2)
29.45°, I = 45, (2 -1 3)
25.95°, I = 44, (2 0 2)
48.84°, I = 40, (4 1 0)
23.13°, I = 37, (0 0 3)

Structural model:
Cell lengths 9.8673, 9.8673, 11.5382 Å; angles 90.00, 90.00, 120.00 degrees
Space group R-3 (No. 148, hexagonal axes)
Asymmetric unit:
Sm: 0.0390 0.7730 0.2093 (multiplicity 18)
Ho: 0.0000 0.0000 0.0000 (multiplicity 3)
Ho: 0.0000 0.0000 0.5000 (multiplicity 3)
O: 0.0277 0.8125 0.4043 (multiplicity 18)
O: 0.0278 0.8418 0.8739 (multiplicity 18)